Record 1
Simulated XRD peak list of Th3P4 for λ = 1.5418 Å (Cu Kα), from a structure optimized by DFT (PBE).
No peak broadening, texture or thermal motion is included.

Peak list (10 most intense, 2θ = 10–80°, low angle first)
hkl, two_theta, d/Å, intensity
2 1 1, 25.23, 3.530, 100.0
2 2 0, 29.21, 3.057, 10.6
3 1 0, 32.75, 2.734, 63.7
3 2 1, 38.98, 2.311, 41.2
4 2 0, 47.00, 1.933, 34.3
3 3 2, 49.44, 1.843, 22.3
4 3 1, 54.08, 1.696, 28.4
5 2 1, 58.47, 1.579, 8.5
6 1 1, 66.68, 1.403, 30.1
5 4 1, 70.60, 1.334, 12.2

Cell and atoms:
Cell lengths 8.6464, 8.6464, 8.6464 Å; angles 90.00, 90.00, 90.00 degrees
Space group I-43d (No. 220)
Symmetry-distinct sites (fractional):
Th 0.0000 0.2500 0.3750 x12
P 0.0792 0.0792 0.0792 x16

---

Record 2
Simulated XRD peak list of ThTiP for λ = 1.5418 Å (Cu Kα), from a structure optimized by DFT (PBE).
No peak broadening, texture or thermal motion is included.

Peak list (10 most intense, 2θ = 10–80°, low angle first)
hkl, two_theta, d/Å, intensity
0 0 2, 11.18, 7.918, 21.8
1 0 1, 23.17, 3.838, 23.7
1 0 3, 28.19, 3.166, 100.0
1 1 0, 31.99, 2.797, 36.5
0 0 6, 33.98, 2.638, 64.5
1 0 5, 36.34, 2.472, 37.4
1 1 4, 39.44, 2.285, 24.0
2 0 0, 45.88, 1.978, 30.2
2 1 3, 54.72, 1.677, 33.5
2 0 6, 58.29, 1.583, 19.8

Cell and atoms:
Cell lengths 3.9560, 3.9560, 15.8354 Å; angles 90.00, 90.00, 90.00 degrees
Space group I4/mmm (No. 139)
Symmetry-distinct sites (fractional):
Th 0.0000 0.0000 0.1727 x4
Ti 0.0000 0.5000 0.0000 x4
P 0.0000 0.0000 0.3885 x4

---

Record 3
Simulated XRD peak list of ThTi2P4 for λ = 1.5418 Å (Cu Kα), from a structure optimized by DFT (PBE).
No peak broadening, texture or thermal motion is included.

Peak list (10 most intense, 2θ = 10–80°, low angle first)
hkl, two_theta, d/Å, intensity
0 0 2, 14.91, 5.940, 41.4
0 2 1, 16.85, 5.261, 80.9
1 1 1, 26.03, 3.423, 41.0
0 2 3, 27.17, 3.283, 75.5
1 1 2, 29.16, 3.063, 46.8
0 2 4, 33.80, 2.652, 37.2
1 3 1, 33.95, 2.640, 100.0
1 3 2, 36.46, 2.464, 35.7
0 0 6, 45.85, 1.979, 43.8
1 5 2, 48.23, 1.887, 30.3

Cell and atoms:
Cell lengths 3.7529, 11.7344, 11.8810 Å; angles 90.00, 90.00, 90.00 degrees
Space group Cmcm (No. 63)
Symmetry-distinct sites (fractional):
Th 0.0000 0.1076 0.2500 x4
Ti 0.0000 0.3673 0.0547 x8
P 0.0000 0.0000 0.0000 x4
P 0.0000 0.2578 0.6228 x8
P 0.0000 0.4242 0.2500 x4